1.
For ErTlSe2, a PBE-relaxed structure gives the calculated X-ray powder pattern in this record (Cu Kα (weighted mean of Kα1 and Kα2)).
Neutral-atom scattering factors, no anomalous dispersion.

Structure:
```
ErTlSe2
1.0
4.160 0.000 0.000
-2.080 3.603 0.000
0.000 0.000 23.411
Er Tl Se
3 3 6
Cartesian
0.000 0.000 0.000
0.000 2.402 15.607
2.080 1.201 7.804
0.000 0.000 11.706
0.000 2.402 3.902
2.080 1.201 19.509
0.000 0.000 6.236
0.000 0.000 17.176
0.000 2.402 9.372
0.000 2.402 21.843
2.080 1.201 1.568
2.080 1.201 14.039
```

Most intense lines, 15° ≤ 2θ ≤ 90°, by intensity:
(hkl)	2theta	intensity
1 0 4	29.11	100
0 1 8	39.68	37
1 1 0	43.51	35
0 1 2	25.87	22
0 2 4	53.20	19
2 1 4	71.08	16
1 1 12	65.61	13
0 0 6	22.79	13
2 0 8	60.34	11
1 1 6	49.68	11

***

2.
For Er5Si4, a PBE-relaxed structure gives the calculated X-ray powder pattern in this record (Cu Kα (weighted mean of Kα1 and Kα2)).
Neutral-atom scattering factors, no anomalous dispersion.

Structure:
```
Er5Si4
1.0
7.358 0.000 0.000
0.000 14.419 0.000
0.000 0.000 7.633
Er Si
20 16
Cartesian
0.215 1.416 1.395
0.215 5.793 1.395
1.080 10.814 3.912
1.352 1.774 5.183
1.352 5.435 5.183
2.327 8.983 1.366
2.327 12.645 1.366
2.599 3.605 0.095
3.464 8.626 5.212
3.464 13.002 5.212
3.894 1.416 2.421
3.894 5.793 2.421
4.759 10.814 7.538
5.031 1.774 6.267
5.031 5.435 6.267
6.006 8.983 2.450
6.006 12.645 2.450
6.278 3.605 3.721
7.143 8.626 6.238
7.143 13.002 6.238
0.139 10.814 0.792
1.076 7.795 3.602
1.076 13.833 3.602
1.723 3.605 2.833
1.956 10.814 6.650
2.603 0.586 7.418
2.603 6.624 7.418
3.540 3.605 4.609
3.818 10.814 3.024
4.755 7.795 0.215
4.755 13.833 0.215
5.402 3.605 0.983
5.635 10.814 4.800
6.282 0.586 4.031
6.282 6.624 4.031
7.219 3.605 6.841
```

Most intense lines, 15° ≤ 2θ ≤ 90°, by intensity:
(hkl)	2theta	intensity
2 3 1	32.83	100
0 4 2	34.22	70
1 3 2	32.33	65
2 1 1	27.62	50
2 3 0	30.60	49
3 4 3	58.18	46
2 1 2	34.43	44
0 6 0	37.41	39
3 0 1	38.56	36
1 1 3	37.93	35

***

3.
For Er5Si4, a PBE-relaxed structure gives the calculated X-ray powder pattern in this record (Cu Kα (weighted mean of Kα1 and Kα2)).
Neutral-atom scattering factors, no anomalous dispersion.

Structure:
```
Er5Si4
1.0
14.457 0.000 0.000
0.000 7.599 0.000
-0.451 0.000 7.407
Er Si
20 16
Cartesian
1.213 1.372 3.669
0.988 2.428 7.373
1.450 5.059 4.776
1.675 6.340 1.073
3.186 0.037 6.118
3.411 3.762 2.414
5.155 5.150 4.985
5.380 6.249 1.282
5.535 1.393 3.869
5.760 2.406 0.165
8.247 5.193 7.241
8.472 6.206 3.538
8.626 1.351 6.125
8.852 2.449 2.422
10.595 3.837 4.992
10.821 7.562 1.289
12.331 1.260 6.334
12.557 2.540 2.630
13.019 5.172 0.034
12.793 6.227 3.737
0.469 4.066 2.199
0.244 7.333 5.902
3.547 0.993 1.561
3.322 2.807 5.264
3.213 4.618 7.071
3.438 6.781 3.368
6.475 4.013 2.613
6.249 7.386 6.316
7.757 0.213 1.091
7.532 3.587 4.794
10.568 0.818 4.039
10.794 2.981 0.335
10.685 4.793 2.142
10.460 6.606 5.845
13.763 0.266 1.505
13.537 3.534 5.208
```

Most intense lines, 15° ≤ 2θ ≤ 90°, by intensity:
(hkl)	2theta	intensity
3 1 -2	31.89	100
4 2 0	34.28	84
0 1 3	38.34	73
3 1 2	33.57	63
1 1 -2	27.19	56
3 2 1	32.80	50
4 0 0	24.68	37
4 3 -3	57.00	36
1 1 -4	50.78	34
5 1 -1	34.70	31

***

4.
For ErTiSi, a PBE-relaxed structure gives the calculated X-ray powder pattern in this record (Cu Kα (weighted mean of Kα1 and Kα2)).
Neutral-atom scattering factors, no anomalous dispersion.

Structure:
```
ErTiSi
1.0
4.014 0.000 0.000
0.000 4.014 0.000
0.000 0.000 7.517
Er Ti Si
2 2 2
Cartesian
1.004 1.004 1.175
3.011 3.011 6.342
1.004 3.011 3.758
3.011 1.004 3.758
1.004 1.004 5.571
3.011 3.011 1.946
```

Most intense lines, 15° ≤ 2θ ≤ 90°, by intensity:
(hkl)	2theta	intensity
1 0 2	32.64	100
1 0 1	25.15	92
1 1 1	33.75	72
1 1 0	31.52	48
2 0 0	45.17	48
1 1 2	39.80	46
2 0 3	58.95	45
2 1 2	56.83	42
0 0 3	35.84	34
2 1 1	52.40	26

***

5.
For SmEr3, a PBE-relaxed structure gives the calculated X-ray powder pattern in this record (Cu Kα (weighted mean of Kα1 and Kα2)).
Neutral-atom scattering factors, no anomalous dispersion.

Structure:
```
SmEr3
1.0
7.206 0.000 0.000
-3.603 6.240 0.000
0.000 0.000 5.642
Sm Er
2 6
Cartesian
0.000 4.160 1.411
3.603 2.080 4.232
0.000 2.064 4.232
-1.815 5.208 4.232
1.788 1.032 1.411
1.815 5.208 4.232
5.418 1.032 1.411
3.603 4.176 1.411
```

Most intense lines, 15° ≤ 2θ ≤ 90°, by intensity:
(hkl)	2theta	intensity
2 0 1	32.80	100
0 0 2	31.72	24
2 0 0	28.61	24
2 2 2	61.03	23
2 0 3	57.19	21
2 2 0	50.67	20
4 0 1	61.69	16
2 0 2	43.23	16
4 2 1	83.80	14
2 2 4	87.92	9

***

6.
For Sm3Er, a PBE-relaxed structure gives the calculated X-ray powder pattern in this record (Cu Kα (weighted mean of Kα1 and Kα2)).
Neutral-atom scattering factors, no anomalous dispersion.

Structure:
```
Sm3Er
1.0
7.329 0.000 0.000
-3.665 6.347 0.000
0.000 0.000 5.803
Sm Er
6 2
Cartesian
0.000 2.116 1.451
-1.832 5.289 1.451
1.832 1.058 4.352
1.832 5.289 1.451
5.497 1.058 4.352
3.665 4.232 4.352
0.000 4.231 4.352
3.665 2.116 1.451
```

Most intense lines, 15° ≤ 2θ ≤ 90°, by intensity:
(hkl)	2theta	intensity
2 0 1	32.15	100
0 0 2	30.82	25
2 0 0	28.12	24
2 2 2	59.69	23
2 0 3	55.65	21
2 2 0	49.76	20
4 0 1	60.49	16
2 0 2	42.20	16
4 2 1	82.03	14
2 2 4	85.35	8

***

7.
For Sm3Er, a PBE-relaxed structure gives the calculated X-ray powder pattern in this record (Cu Kα (weighted mean of Kα1 and Kα2)).
Neutral-atom scattering factors, no anomalous dispersion.

Structure:
```
Sm3Er
1.0
5.087 0.000 0.000
0.000 5.087 0.000
0.000 0.000 5.087
Sm Er
3 1
Cartesian
0.000 0.000 2.543
0.000 2.543 0.000
2.543 0.000 0.000
2.543 2.543 2.543
```

Most intense lines, 15° ≤ 2θ ≤ 90°, by intensity:
(hkl)	2theta	intensity
1 1 1	30.44	100
2 0 0	35.29	51
3 1 1	60.35	43
2 2 0	50.76	36
3 3 1	82.69	18
4 2 0	85.34	17
2 2 2	63.33	12
4 0 0	74.63	6

***

8.
For SmEr3, a PBE-relaxed structure gives the calculated X-ray powder pattern in this record (Cu Kα (weighted mean of Kα1 and Kα2)).
Neutral-atom scattering factors, no anomalous dispersion.

Structure:
```
SmEr3
1.0
5.005 0.000 0.000
0.000 5.005 0.000
0.000 0.000 9.974
Sm Er
2 6
Cartesian
0.000 0.000 0.000
2.503 2.503 4.987
0.000 0.000 4.987
0.000 2.503 2.494
0.000 2.503 7.481
2.503 0.000 2.494
2.503 0.000 7.481
2.503 2.503 0.000
```

Most intense lines, 15° ≤ 2θ ≤ 90°, by intensity:
(hkl)	2theta	intensity
1 1 2	30.98	100
2 0 0	35.88	34
3 1 2	61.46	29
2 0 4	51.75	24
0 0 4	36.02	17
1 1 6	61.64	14
2 2 4	64.58	12
2 2 0	51.65	12
3 1 6	84.52	12
4 2 0	87.11	11